For LaZnFeCoO6, a structure optimized by DFT (GGA+U) gives the theoretical powder diffractogram in this record (Cu Ka).
Lines closer than 0.1° are merged.

Crystal structure
a = 5.286 Å, b = 5.496 Å, c = 9.177 Å
α = 90.00°, β = 124.87°, γ = 90.00°
Sites, in units of the cell vectors:
La1 0.000 0.241 0.000
La2 0.000 0.759 0.500
Zn1 0.460 0.256 0.502
Zn2 0.460 0.744 0.002
Fe1 0.740 0.253 0.253
Fe2 0.740 0.747 0.753
Co1 0.240 0.250 0.752
Co2 0.240 0.750 0.252
O1 0.067 0.492 0.308
O2 0.067 0.508 0.808
O3 0.083 0.025 0.307
O4 0.083 0.975 0.807
O5 0.438 0.483 0.691
O6 0.438 0.517 0.191
O7 0.456 0.030 0.695
O8 0.456 0.970 0.195
O9 0.560 0.256 0.994
O10 0.560 0.744 0.494
O11 0.861 0.246 0.508
O12 0.861 0.754 0.008

Largest 12 diffraction maxima, low angle first, 10° ≤ 2θ ≤ 90°:
2θ (°)  I_rel  hkl
20.0  15.1  0 1 1
32.6  52.2  0 2 0
33.4  100.0  1 1 1
33.5  99.5  1 1 -3
33.9  38.0  2 0 -2
40.6  17.4  0 2 2
47.7  58.0  2 2 -2
48.4  25.5  0 0 4
58.7  39.0  1 3 -3
59.5  24.0  0 2 4
60.3  30.6  2 0 2
60.5  29.4  3 1 -5